Theoretical X-ray diffraction stick pattern of TiV4CoO12 for Cu Kα, from the PBE+U geometry in Alexandria.
Peak positions follow from Bragg's law for the DFT cell and can differ from measured ones.

Top 6 peaks for 10° ≤ 2θ ≤ 90°, sorted by position:
d_spacing, 2θ/deg, I_rel, hkl
6.762, 13.09, 55.8, 1 1 0
4.698, 18.89, 100.0, 1 1 -1
4.576, 19.40, 40.1, 0 2 0
3.179, 28.07, 98.1, 2 2 -1
3.143, 28.40, 66.1, 3 1 0
2.661, 33.68, 39.6, 0 0 2

Structure:
a = 10.589 Å, b = 9.151 Å, c = 5.608 Å
α = 90.00°, β = 108.60°, γ = 90.00°
Space group C2 (No. 5)
Inequivalent atoms, fractional coordinates:
Ti 0.000 0.000 0.000 (multiplicity 2)
V 0.215 0.511 0.553 (multiplicity 4)
V 0.225 0.305 0.079 (multiplicity 4)
Co 0.000 0.825 0.500 (multiplicity 2)
O 0.100 0.853 0.883 (multiplicity 4)
O 0.111 0.988 0.366 (multiplicity 4)
O 0.128 0.148 0.980 (multiplicity 4)
O 0.151 0.444 0.246 (multiplicity 4)
O 0.162 0.408 0.758 (multiplicity 4)
O 0.174 0.696 0.571 (multiplicity 4)